Entry 1:
# Tb3ThAu2
Simulated powder XRD pattern, Cu Kα. Input: a GGA-PBE-relaxed structure.
No peak broadening, texture or thermal motion is included.

Cell: 3.619 3.619 12.045 Å, 90.00 90.00 90.00°
Fractional positions:
Tb  0.000  0.000  0.000
Tb  0.000  0.000  0.298
Tb  0.000  0.000  0.702
Th  0.500  0.500  0.500
Au  0.500  0.500  0.149
Au  0.500  0.500  0.851

Largest 12 diffraction maxima, by angle, 2θ = 15–90°:
| 2theta | d [Å] | I_rel |
| --- | --- | --- |
| 28.78 | 3.102 | 6.2 |
| 33.33 | 2.688 | 100.0 |
| 35.07 | 2.559 | 51.8 |
| 38.91 | 2.315 | 9.1 |
| 45.17 | 2.007 | 6.7 |
| 50.43 | 1.809 | 18.7 |
| 52.13 | 1.755 | 7.1 |
| 58.43 | 1.579 | 12.0 |
| 61.81 | 1.501 | 34.5 |
| 70.00 | 1.344 | 7.2 |
| 83.72 | 1.155 | 7.6 |
| 84.70 | 1.144 | 8.8 |



Entry 2:
# TbTh2Au3
Simulated powder XRD pattern, Cu Kα. Input: a GGA-PBE-relaxed structure.
No peak broadening, texture or thermal motion is included.

Cell: 5.192 16.173 3.570 Å, 90.00 90.00 90.00°
Fractional positions:
Tb  0.250  0.250  0.000
Tb  0.750  0.750  0.000
Th  0.250  0.580  0.001
Th  0.250  0.920  0.001
Th  0.750  0.080  0.999
Th  0.750  0.420  0.999
Au  0.250  0.094  0.499
Au  0.250  0.406  0.499
Au  0.250  0.750  0.501
Au  0.750  0.250  0.499
Au  0.750  0.594  0.501
Au  0.750  0.906  0.501

Largest 12 diffraction maxima, by angle, 2θ = 15–90°:
| 2theta | d [Å] | I_rel |
| --- | --- | --- |
| 33.24 | 2.696 | 26.8 |
| 34.55 | 2.596 | 25.7 |
| 34.74 | 2.582 | 100.0 |
| 48.70 | 1.870 | 18.8 |
| 51.18 | 1.785 | 8.6 |
| 60.36 | 1.534 | 18.5 |
| 62.03 | 1.496 | 19.9 |
| 62.40 | 1.488 | 9.0 |
| 63.22 | 1.471 | 9.2 |
| 73.33 | 1.291 | 11.5 |
| 81.85 | 1.177 | 8.1 |
| 85.67 | 1.134 | 8.3 |



Entry 3:
# TbThZnAu
Simulated powder XRD pattern, Cu Kα. Input: a GGA-PBE-relaxed structure.
No peak broadening, texture or thermal motion is included.

Cell: 7.325 7.325 7.325 Å, 90.00 90.00 90.00°
Fractional positions:
Tb  0.000  0.000  0.000
Tb  0.000  0.500  0.500
Tb  0.500  0.000  0.500
Tb  0.500  0.500  0.000
Th  0.000  0.000  0.500
Th  0.000  0.500  0.000
Th  0.500  0.000  0.000
Th  0.500  0.500  0.500
Zn  0.250  0.250  0.750
Zn  0.250  0.750  0.250
Zn  0.750  0.250  0.250
Zn  0.750  0.750  0.750
Au  0.250  0.250  0.250
Au  0.250  0.750  0.750
Au  0.750  0.250  0.750
Au  0.750  0.750  0.250

Largest 12 diffraction maxima, by angle, 2θ = 15–90°:
| 2theta | d [Å] | I_rel |
| --- | --- | --- |
| 21.01 | 4.229 | 10.6 |
| 24.30 | 3.662 | 3.6 |
| 34.64 | 2.590 | 100.0 |
| 40.86 | 2.209 | 6.2 |
| 49.79 | 1.831 | 18.1 |
| 54.61 | 1.680 | 2.8 |
| 56.16 | 1.638 | 1.6 |
| 62.08 | 1.495 | 37.5 |
| 66.31 | 1.410 | 2.2 |
| 73.08 | 1.295 | 11.7 |
| 77.02 | 1.238 | 2.2 |
| 83.46 | 1.158 | 16.7 |



Entry 4:
# Tb5TlAu2
Simulated powder XRD pattern, Cu Kα. Input: a GGA-PBE-relaxed structure.
No peak broadening, texture or thermal motion is included.

Cell: 8.743 8.743 8.743 Å, 124.55 124.55 82.28°
Fractional positions:
Tb  0.000  0.000  0.000
Tb  0.012  0.512  0.812
Tb  0.201  0.012  0.500
Tb  0.299  0.799  0.812
Tb  0.488  0.299  0.500
Tb  0.500  0.500  0.000
Tb  0.512  0.701  0.500
Tb  0.701  0.201  0.188
Tb  0.799  0.988  0.500
Tb  0.988  0.488  0.188
Tl  0.250  0.250  0.000
Tl  0.750  0.750  0.000
Au  0.136  0.364  0.500
Au  0.364  0.864  0.228
Au  0.636  0.136  0.772
Au  0.864  0.636  0.500

Largest 12 diffraction maxima, by angle, 2θ = 15–90°:
| 2theta | d [Å] | I_rel |
| --- | --- | --- |
| 31.10 | 2.876 | 10.3 |
| 31.31 | 2.857 | 12.7 |
| 31.95 | 2.801 | 100.0 |
| 34.88 | 2.572 | 62.0 |
| 35.07 | 2.559 | 19.2 |
| 42.37 | 2.133 | 13.5 |
| 50.15 | 1.819 | 8.9 |
| 50.73 | 1.800 | 8.8 |
| 54.99 | 1.670 | 7.7 |
| 55.46 | 1.657 | 7.5 |
| 65.33 | 1.428 | 20.5 |
| 67.56 | 1.387 | 13.3 |



Entry 5:
# Tb4Tl2Au
Simulated powder XRD pattern, Cu Kα. Input: a GGA-PBE-relaxed structure.
No peak broadening, texture or thermal motion is included.

Cell: 9.089 9.089 9.089 Å, 33.56 33.56 33.56°
Fractional positions:
Tb  0.122  0.122  0.122
Tb  0.373  0.373  0.373
Tb  0.627  0.627  0.627
Tb  0.878  0.878  0.878
Tl  0.244  0.244  0.244
Tl  0.756  0.756  0.756
Au  0.000  0.000  0.000

Largest 12 diffraction maxima, by angle, 2θ = 15–90°:
| 2theta | d [Å] | I_rel |
| --- | --- | --- |
| 19.84 | 4.476 | 6.1 |
| 20.73 | 4.285 | 6.2 |
| 26.17 | 3.405 | 3.6 |
| 31.32 | 2.856 | 2.2 |
| 34.17 | 2.624 | 100.0 |
| 35.79 | 2.509 | 1.9 |
| 40.30 | 2.238 | 3.1 |
| 47.02 | 1.932 | 4.2 |
| 49.10 | 1.856 | 17.9 |
| 61.17 | 1.515 | 36.6 |
| 71.97 | 1.312 | 11.2 |
| 82.13 | 1.174 | 15.6 |



Entry 6:
# Tb5Tl2Au2
Simulated powder XRD pattern, Cu Kα. Input: a GGA-PBE-relaxed structure.
No peak broadening, texture or thermal motion is included.

Cell: 8.976 8.976 7.336 Å, 90.00 90.00 57.80°
Fractional positions:
Tb  0.000  0.000  0.000
Tb  0.054  0.689  0.654
Tb  0.189  0.554  0.154
Tb  0.311  0.946  0.654
Tb  0.446  0.811  0.154
Tb  0.500  0.500  0.500
Tb  0.554  0.189  0.846
Tb  0.689  0.054  0.346
Tb  0.811  0.446  0.846
Tb  0.946  0.311  0.346
Tl  0.210  0.210  0.000
Tl  0.290  0.290  0.500
Tl  0.710  0.710  0.500
Tl  0.790  0.790  0.000
Au  0.129  0.871  0.367
Au  0.371  0.629  0.867
Au  0.629  0.371  0.133
Au  0.871  0.129  0.633

Largest 12 diffraction maxima, by angle, 2θ = 15–90°:
| 2theta | d [Å] | I_rel |
| --- | --- | --- |
| 26.43 | 3.373 | 31.4 |
| 30.70 | 2.912 | 65.8 |
| 31.51 | 2.839 | 100.0 |
| 31.95 | 2.801 | 50.3 |
| 32.67 | 2.741 | 37.6 |
| 33.10 | 2.707 | 85.9 |
| 33.42 | 2.681 | 28.0 |
| 33.80 | 2.652 | 84.5 |
| 38.68 | 2.328 | 51.2 |
| 39.14 | 2.301 | 45.3 |
| 43.44 | 2.083 | 37.2 |
| 66.68 | 1.403 | 25.1 |